No. 1
Starting from a cell relaxed with PBE+U, the powder XRD pattern of Ba2Nd2Fe3CoO12 was simulated for Cu Kα.
No peak broadening, texture or thermal motion is included.

Structural model:
Cell lengths 5.567, 5.567, 7.939 Å; angles 90.00, 90.00, 90.00 degrees
Sites, in units of the cell vectors:
1 Ba 0.000 0.500 0.249
2 Ba 0.500 0.000 0.751
3 Nd 0.000 0.500 0.754
4 Nd 0.500 0.000 0.246
5 Fe 0.000 0.000 0.500
6 Fe 0.500 0.500 0.000
7 Fe 0.500 0.500 0.500
8 Co 0.000 0.000 0.000
9 O 0.000 0.000 0.247
10 O 0.000 0.000 0.753
11 O 0.245 0.245 0.000
12 O 0.245 0.755 0.000
13 O 0.250 0.250 0.500
14 O 0.250 0.750 0.500
15 O 0.500 0.500 0.248
16 O 0.500 0.500 0.752
17 O 0.750 0.250 0.500
18 O 0.750 0.750 0.500
19 O 0.755 0.245 0.000
20 O 0.755 0.755 0.000

Peak list (12 most intense, 2θ from 15° to 90°, in order of rising 2θ)
Position (°2θ)	I/Imax	(hkl)
22.6	13	1 1 0
32.0	100	1 1 2
32.2	50	2 0 0
39.5	27	2 0 2
45.7	17	0 0 4
46.1	32	2 2 0
57.0	19	2 0 4
57.2	38	3 1 2
67.0	19	2 2 4
67.3	9	4 0 0
76.5	16	4 2 0
85.1	10	4 0 4

No. 2
Starting from a cell relaxed with PBE+U, the powder XRD pattern of LiFe4B4O12 was simulated for Cu Kα.
No peak broadening, texture or thermal motion is included.

Structural model:
Cell lengths 5.251, 5.254, 20.119 Å; angles 89.10, 89.70, 61.12 degrees
Sites, in units of the cell vectors:
1 Li 0.000 0.000 0.000
2 Li 0.324 0.700 0.628
3 Fe 0.332 0.342 0.240
4 Fe 0.337 0.322 0.738
5 Fe 0.649 0.017 0.114
6 Fe 0.651 0.662 0.990
7 Fe 0.660 0.670 0.490
8 Fe 0.665 0.029 0.612
9 Fe 0.981 0.347 0.365
10 Fe 0.988 0.352 0.866
11 B 0.319 0.344 0.991
12 B 0.320 0.340 0.488
13 B 0.653 0.004 0.364
14 B 0.657 0.007 0.865
15 B 0.662 0.684 0.239
16 B 0.670 0.670 0.737
17 B 0.991 0.346 0.113
18 B 0.997 0.347 0.614
19 O 0.009 0.084 0.615
20 O 0.058 0.362 0.465
21 O 0.081 0.314 0.968
22 O 0.235 0.375 0.637
23 O 0.251 0.321 0.138
24 O 0.307 0.606 0.991
25 O 0.356 0.578 0.492
26 O 0.386 0.218 0.338
27 O 0.392 0.222 0.838
28 O 0.431 0.638 0.235
29 O 0.446 0.615 0.726
30 O 0.537 0.071 0.510
31 O 0.566 0.089 0.013
32 O 0.644 0.936 0.718
33 O 0.649 0.944 0.216
34 O 0.666 0.745 0.387
35 O 0.679 0.742 0.885
36 O 0.748 0.599 0.591
37 O 0.773 0.617 0.094
38 O 0.883 0.051 0.367
39 O 0.884 0.059 0.873
40 O 0.927 0.471 0.266
41 O 0.932 0.459 0.765
42 O 0.958 0.106 0.105

Peak list (12 most intense, 2θ from 15° to 90°, in order of rising 2θ)
Position (°2θ)	I/Imax	(hkl)
19.3	57	0 1 0
19.6	98	1 1 0
21.3	56	1 0 2
21.4	95	0 1 -2
26.1	40	0 1 4
26.3	79	1 0 -4
26.5	31	0 1 -4
33.6	34	1 -1 0
34.1	73	1 2 0
35.7	100	0 0 8
49.5	26	1 0 10
49.8	26	0 1 -10